[1]
This entry pairs a crystal structure of Y7Tm with its theoretical powder XRD pattern. Radiation: Cu Kα (weighted mean of Kα1 and Kα2). Structure: a GGA-PBE-relaxed structure.

The 12 most intense peaks (2θ = 15–90°), sorted by position:
| 2theta | Rel. int. |
| --- | --- |
| 29.80 | 249 |
| 30.66 | 853 |
| 31.86 | 1000 |
| 32.08 | 475 |
| 32.63 | 520 |
| 37.68 | 147 |
| 46.41 | 350 |
| 56.30 | 179 |
| 57.04 | 156 |
| 58.48 | 240 |
| 61.90 | 286 |
| 62.03 | 142 |

Structural model:
```
data_Y7Tm
_chemical_formula_sum 'Y14 Tm2'
_space_group_name_H-M_alt 'I m m m'
_space_group_IT_number 71
_space_group_name_Hall '-I 2 2'
_cell_length_a 3.5446
_cell_length_b 11.1617
_cell_length_c 13.0038
_cell_angle_alpha 90.00
_cell_angle_beta 90.00
_cell_angle_gamma 90.00
loop_
_atom_site_label
_atom_site_fract_x
_atom_site_fract_y
_atom_site_fract_z
Y1 0.0000 0.0000 0.0000
Y2 0.0000 0.0000 0.2605
Y3 0.0000 0.2671 0.3678
Tm1 0.0000 0.5000 0.0000
```

=====

[2]
This entry pairs a crystal structure of Y5Tm7 with its theoretical powder XRD pattern. Radiation: Cu Kα (weighted mean of Kα1 and Kα2). Structure: a GGA-PBE-relaxed structure.

The 12 most intense peaks (2θ = 15–90°), sorted by position:
| 2theta | Rel. int. |
| --- | --- |
| 30.20 | 486 |
| 31.36 | 353 |
| 33.18 | 1000 |
| 37.70 | 269 |
| 49.82 | 128 |
| 51.66 | 263 |
| 56.99 | 210 |
| 61.69 | 305 |
| 62.79 | 157 |
| 80.50 | 77 |
| 85.55 | 135 |
| 87.94 | 117 |

Structural model:
```
data_Y5Tm7
_chemical_formula_sum 'Y10 Tm14'
_space_group_name_H-M_alt 'C 1 2/m 1'
_space_group_IT_number 12
_space_group_name_Hall '-C 2y'
_cell_length_a 18.3880
_cell_length_b 3.5387
_cell_length_c 12.9530
_cell_angle_alpha 90.00
_cell_angle_beta 118.25
_cell_angle_gamma 90.00
loop_
_atom_site_label
_atom_site_fract_x
_atom_site_fract_y
_atom_site_fract_z
Y1 0.0000 0.0000 0.0000
Y2 0.1658 0.0000 0.4985
Y3 0.1952 0.5000 0.7514
Tm1 0.0000 0.5000 0.5000
Tm2 0.0276 0.0000 0.7499
Tm3 0.1382 0.5000 0.2489
Tm4 0.1660 0.5000 0.9978
```

=====

[3]
This entry pairs a crystal structure of YTm3 with its theoretical powder XRD pattern. Radiation: Cu Kα (weighted mean of Kα1 and Kα2). Structure: a GGA-PBE-relaxed structure.

The 12 most intense peaks (2θ = 15–90°), sorted by position:
| 2theta | Rel. int. |
| --- | --- |
| 28.75 | 250 |
| 32.24 | 236 |
| 33.05 | 1000 |
| 43.73 | 163 |
| 50.94 | 201 |
| 58.00 | 201 |
| 61.58 | 222 |
| 62.08 | 163 |
| 69.35 | 43 |
| 80.79 | 78 |
| 84.35 | 140 |
| 89.22 | 84 |

Structural model:
```
data_YTm3
_chemical_formula_sum 'Y1 Tm3'
_space_group_name_H-M_alt 'P m m 2'
_space_group_IT_number 25
_space_group_name_Hall 'P 2 -2'
_cell_length_a 3.5857
_cell_length_b 5.5539
_cell_length_c 6.2092
_cell_angle_alpha 90.00
_cell_angle_beta 90.00
_cell_angle_gamma 90.00
loop_
_atom_site_label
_atom_site_fract_x
_atom_site_fract_y
_atom_site_fract_z
Y1 0.0000 0.0000 0.0000
Tm1 0.0000 0.5000 0.6637
Tm2 0.5000 0.0000 0.4988
Tm3 0.5000 0.5000 0.1665
```

=====

[4]
This entry pairs a crystal structure of Y5Tm3 with its theoretical powder XRD pattern. Radiation: Cu Kα (weighted mean of Kα1 and Kα2). Structure: a GGA-PBE-relaxed structure.

The 12 most intense peaks (2θ = 15–90°), sorted by position:
| 2theta | Rel. int. |
| --- | --- |
| 28.49 | 239 |
| 31.93 | 233 |
| 32.74 | 1000 |
| 43.31 | 153 |
| 50.45 | 191 |
| 57.42 | 200 |
| 60.95 | 214 |
| 61.45 | 163 |
| 68.63 | 39 |
| 79.90 | 74 |
| 83.41 | 133 |
| 88.19 | 78 |

Structural model:
```
data_Y5Tm3
_chemical_formula_sum 'Y5 Tm3'
_space_group_name_H-M_alt 'P m m 2'
_space_group_IT_number 25
_space_group_name_Hall 'P 2 -2'
_cell_length_a 3.6183
_cell_length_b 5.6056
_cell_length_c 12.5330
_cell_angle_alpha 90.00
_cell_angle_beta 90.00
_cell_angle_gamma 90.00
loop_
_atom_site_label
_atom_site_fract_x
_atom_site_fract_y
_atom_site_fract_z
Y1 0.0000 0.0000 0.0000
Y2 0.0000 0.0000 0.4932
Y3 0.0000 0.5000 0.8316
Y4 0.5000 0.0000 0.7463
Y5 0.5000 0.5000 0.5769
Tm1 0.0000 0.5000 0.3265
Tm2 0.5000 0.0000 0.2464
Tm3 0.5000 0.5000 0.0823
```

=====

[5]
This entry pairs a crystal structure of YTm7 with its theoretical powder XRD pattern. Radiation: Cu Kα (weighted mean of Kα1 and Kα2). Structure: a GGA-PBE-relaxed structure.

The 12 most intense peaks (2θ = 15–90°), sorted by position:
| 2theta | Rel. int. |
| --- | --- |
| 31.17 | 679 |
| 32.47 | 1000 |
| 32.78 | 453 |
| 33.15 | 470 |
| 35.59 | 235 |
| 39.07 | 196 |
| 47.32 | 293 |
| 52.34 | 141 |
| 57.50 | 255 |
| 58.32 | 141 |
| 59.59 | 240 |
| 62.95 | 325 |

Structural model:
```
data_YTm7
_chemical_formula_sum 'Y2 Tm14'
_space_group_name_H-M_alt 'I m m m'
_space_group_IT_number 71
_space_group_name_Hall '-I 2 2'
_cell_length_a 3.4961
_cell_length_b 10.9271
_cell_length_c 12.7788
_cell_angle_alpha 90.00
_cell_angle_beta 90.00
_cell_angle_gamma 90.00
loop_
_atom_site_label
_atom_site_fract_x
_atom_site_fract_y
_atom_site_fract_z
Y1 0.0000 0.0000 0.0000
Tm1 0.0000 0.2293 0.3665
Tm2 0.0000 0.5000 0.0000
Tm3 0.0000 0.5000 0.2589
```

=====

[6]
This entry pairs a crystal structure of YTm4 with its theoretical powder XRD pattern. Radiation: Cu Kα (weighted mean of Kα1 and Kα2). Structure: a GGA-PBE-relaxed structure.

The 12 most intense peaks (2θ = 15–90°), sorted by position:
| 2theta | Rel. int. |
| --- | --- |
| 31.27 | 1000 |
| 36.26 | 505 |
| 52.16 | 179 |
| 52.28 | 177 |
| 62.06 | 212 |
| 62.18 | 175 |
| 65.17 | 92 |
| 76.90 | 38 |
| 85.30 | 89 |
| 85.49 | 44 |
| 88.03 | 56 |
| 88.21 | 83 |

Structural model:
```
data_YTm4
_chemical_formula_sum 'Y2 Tm8'
_space_group_name_H-M_alt 'C 1 2/m 1'
_space_group_IT_number 12
_space_group_name_Hall '-C 2y'
_cell_length_a 6.0711
_cell_length_b 3.5097
_cell_length_c 14.4108
_cell_angle_alpha 90.00
_cell_angle_beta 97.93
_cell_angle_gamma 90.00
loop_
_atom_site_label
_atom_site_fract_x
_atom_site_fract_y
_atom_site_fract_z
Y1 0.0000 0.0000 0.0000
Tm1 0.0999 0.5000 0.7976
Tm2 0.2002 0.0000 0.5992
```

=====

[7]
This entry pairs a crystal structure of Y2Tm2Zn3 with its theoretical powder XRD pattern. Radiation: Cu Kα (weighted mean of Kα1 and Kα2). Structure: a GGA-PBE-relaxed structure.

The 12 most intense peaks (2θ = 15–90°), sorted by position:
| 2theta | Rel. int. |
| --- | --- |
| 25.38 | 259 |
| 27.70 | 76 |
| 36.19 | 1000 |
| 36.26 | 200 |
| 52.08 | 139 |
| 52.22 | 69 |
| 65.01 | 105 |
| 65.12 | 241 |
| 65.22 | 69 |
| 76.84 | 84 |
| 87.87 | 61 |
| 87.98 | 60 |

Structural model:
```
data_Y2Tm2Zn3
_chemical_formula_sum 'Y2 Tm2 Zn3'
_space_group_name_H-M_alt 'P -1'
_space_group_IT_number 2
_space_group_name_Hall '-P 1'
_cell_length_a 4.9554
_cell_length_b 4.9619
_cell_length_c 8.5909
_cell_angle_alpha 73.28
_cell_angle_beta 73.33
_cell_angle_gamma 60.18
loop_
_atom_site_label
_atom_site_fract_x
_atom_site_fract_y
_atom_site_fract_z
Y1 0.1261 0.1274 0.1217
Tm1 0.3769 0.3773 0.3702
Zn1 0.0000 0.0000 0.5000
Zn2 0.2524 0.2523 0.7415
```

=====

[8]
This entry pairs a crystal structure of Y6Tm2Zn with its theoretical powder XRD pattern. Radiation: Cu Kα (weighted mean of Kα1 and Kα2). Structure: a GGA-PBE-relaxed structure.

The 12 most intense peaks (2θ = 15–90°), sorted by position:
| 2theta | Rel. int. |
| --- | --- |
| 17.64 | 163 |
| 31.51 | 1000 |
| 32.09 | 287 |
| 32.77 | 817 |
| 33.56 | 408 |
| 37.95 | 161 |
| 47.11 | 193 |
| 51.55 | 131 |
| 58.72 | 164 |
| 59.51 | 146 |
| 60.77 | 159 |
| 66.51 | 159 |

Structural model:
```
data_Y6Tm2Zn
_chemical_formula_sum 'Y12 Tm4 Zn2'
_space_group_name_H-M_alt 'P n n m'
_space_group_IT_number 58
_space_group_name_Hall '-P 2 2n'
_cell_length_a 10.0518
_cell_length_b 10.0639
_cell_length_c 5.3405
_cell_angle_alpha 90.00
_cell_angle_beta 90.00
_cell_angle_gamma 90.00
loop_
_atom_site_label
_atom_site_fract_x
_atom_site_fract_y
_atom_site_fract_z
Y1 0.0419 0.1864 0.0000
Y2 0.1212 0.6206 0.5000
Y3 0.1863 0.9569 0.5000
Tm1 0.2156 0.2831 0.5000
Zn1 0.0000 0.5000 0.0000
```